Record 1
For Ac2CoF8, DFT lattice parameters and positions (PBE+U) gives the simulated PXRD pattern in this record (CuKα).
Neutral-atom scattering factors, no anomalous dispersion.

Structural model:
Unit cell a=7.2982 b=7.2982 c=7.5253 alpha=93.76 beta=93.76 gamma=35.10
Sites, in units of the cell vectors:
Ac (0.2373, 0.2373, 0.2493)
Ac (0.7627, 0.7627, 0.7507)
Co (0.7422, 0.2578, 0.5000)
F (0.0218, 0.1212, 0.3227)
F (0.2381, 0.2365, 0.5941)
F (0.2931, 0.3003, 0.9374)
F (0.4225, 0.3901, 0.3486)
F (0.6099, 0.5775, 0.6514)
F (0.6997, 0.7069, 0.0626)
F (0.7635, 0.7619, 0.4059)
F (0.8788, 0.9782, 0.6773)

Main lines, low angle first (10 to 90 degrees two-theta):
d 6.942, 12.75°, I = 100
d 3.754, 23.70°, I = 21
d 3.695, 24.08°, I = 54
d 3.631, 24.52°, I = 55
d 3.471, 25.67°, I = 31
d 3.401, 26.20°, I = 26
d 2.887, 30.98°, I = 21
d 2.203, 40.96°, I = 27

***

Record 2
For AcTlCoF6, DFT lattice parameters and positions (PBE+U) gives the simulated PXRD pattern in this record (CuKα).
Neutral-atom scattering factors, no anomalous dispersion.

Structural model:
Unit cell a=7.6765 b=7.6765 c=7.6765 alpha=120.43 beta=113.92 gamma=95.05
Sites, in units of the cell vectors:
Ac (0.0000, 0.0000, 0.0000)
Ac (0.5000, 0.0000, 0.5000)
Tl (0.3123, 0.5623, 0.7500)
Tl (0.6877, 0.4377, 0.2500)
Co (0.0000, 0.0000, 0.5000)
Co (0.0000, 0.5000, 0.0000)
F (0.0366, 0.3943, 0.2029)
F (0.0366, 0.8337, 0.6423)
F (0.0878, 0.8378, 0.2500)
F (0.3086, 0.1663, 0.7029)
F (0.3086, 0.6057, 0.1423)
F (0.3732, 0.1232, 0.2500)
F (0.6268, 0.8768, 0.7500)
F (0.6914, 0.3943, 0.8577)
F (0.6914, 0.8337, 0.2971)
F (0.9122, 0.1622, 0.7500)
F (0.9634, 0.1663, 0.3577)
F (0.9634, 0.6057, 0.7971)

Main lines, low angle first (10 to 90 degrees two-theta):
d 5.184, 17.10°, I = 42
d 3.814, 23.32°, I = 39
d 3.459, 25.76°, I = 100
d 3.072, 29.07°, I = 44
d 2.516, 35.69°, I = 35
d 2.126, 42.51°, I = 31
d 1.907, 47.68°, I = 28
d 1.729, 52.94°, I = 18